[1]
LiTiSiO4: theoretical powder diffraction line list (Cu Kα (weighted mean of Kα1 and Kα2)), based on a cell relaxed with PBE.

Atomic structure:
Cell lengths 4.802, 5.933, 10.348 Å; angles 90.00, 90.00, 90.00 degrees
Space group P2_12_12_1 (No. 19)
One atom of each set of equivalent atoms:
1 Li 0.000 0.245 0.246
2 Ti 0.002 0.501 0.977
3 Si 0.052 0.501 0.657
4 O 0.191 0.500 0.802
5 O 0.201 0.287 0.576
6 O 0.202 0.714 0.576
7 O 0.216 0.999 0.347

Top 10 peaks for 10° ≤ 2θ ≤ 90°, in order of falling intensity:
- 35.44 deg, intensity 100.0, (1 1 3)
- 25.37 deg, intensity 81.0, (1 1 1)
- 20.39 deg, intensity 64.1, (1 0 1)
- 30.13 deg, intensity 59.9, (0 2 0)
- 52.10 deg, intensity 37.4, (2 2 2)
- 17.14 deg, intensity 37.3, (0 0 2)
- 22.81 deg, intensity 29.8, (0 1 2)
- 39.74 deg, intensity 28.4, (1 2 2)
- 36.65 deg, intensity 27.2, (1 2 1)
- 41.49 deg, intensity 25.6, (2 1 1)

[2]
LaAl10Cu2: theoretical powder diffraction line list (Cu Kα (weighted mean of Kα1 and Kα2)), based on a cell relaxed with PBE.

Atomic structure:
Cell lengths 5.247, 12.617, 13.351 Å; angles 90.00, 90.00, 90.00 degrees
Space group Fmmm (No. 69)
One atom of each set of equivalent atoms:
1 La 0.000 0.000 0.000
2 Al 0.000 0.109 0.383
3 Al 0.000 0.172 0.180
4 Al 0.250 0.250 0.000
5 Cu 0.250 0.000 0.250

Top 10 peaks for 10° ≤ 2θ ≤ 90°, in order of falling intensity:
- 39.58 deg, intensity 100.0, (2 2 2)
- 14.04 deg, intensity 72.7, (0 2 0)
- 39.30 deg, intensity 70.0, (0 4 4)
- 33.94 deg, intensity 50.2, (1 3 3)
- 38.50 deg, intensity 49.5, (1 1 5)
- 40.23 deg, intensity 41.3, (1 5 1)
- 19.49 deg, intensity 39.5, (1 1 1)
- 27.21 deg, intensity 37.4, (1 1 3)
- 30.29 deg, intensity 33.6, (0 2 4)
- 28.00 deg, intensity 30.2, (1 3 1)